[1]
UInNi2: theoretical XRD peak list (CuKα), based on a cell relaxed with GGA-PBE.
Kinematic intensities with the Lorentz-polarization factor, no thermal factor.

Cell and atoms:
Unit cell a=6.4810 b=6.4810 c=6.4810 alpha=90.00 beta=90.00 gamma=90.00
Space group Fm-3m (No. 225)
One atom of each set of equivalent atoms:
1 U 0.0000 0.0000 0.0000 x4
2 In 0.0000 0.0000 0.5000 x4
3 Ni 0.2500 0.2500 0.2500 x8

Largest 10 diffraction maxima, in order of rising 2θ, 15° ≤ 2θ ≤ 90°:
23.78°, intensity 12, hkl 1 1 1
27.53°, intensity 25, hkl 2 0 0
39.32°, intensity 100, hkl 2 2 0
46.47°, intensity 7, hkl 3 1 1
48.67°, intensity 8, hkl 2 2 2
56.82°, intensity 17, hkl 4 0 0
62.46°, intensity 3, hkl 3 3 1
64.28°, intensity 11, hkl 4 2 0
71.29°, intensity 34, hkl 4 2 2
84.58°, intensity 11, hkl 4 4 0

=====

[2]
Cs2TlBiBr6: theoretical XRD peak list (CuKα), based on a cell relaxed with GGA-PBE.
Kinematic intensities with the Lorentz-polarization factor, no thermal factor.

Cell and atoms:
Unit cell a=12.0981 b=12.0981 c=12.0981 alpha=90.00 beta=90.00 gamma=90.00
Space group Fm-3m (No. 225)
One atom of each set of equivalent atoms:
1 Cs 0.2500 0.2500 0.2500 x8
2 Tl 0.0000 0.0000 0.0000 x4
3 Bi 0.0000 0.0000 0.5000 x4
4 Br 0.0000 0.0000 0.2622 x24

Largest 10 diffraction maxima, in order of rising 2θ, 15° ≤ 2θ ≤ 90°:
20.77°, intensity 90, hkl 2 2 0
29.53°, intensity 100, hkl 4 0 0
33.11°, intensity 21, hkl 4 2 0
36.38°, intensity 43, hkl 4 2 2
42.26°, intensity 74, hkl 4 4 0
47.53°, intensity 22, hkl 6 2 0
52.40°, intensity 26, hkl 4 4 4
56.96°, intensity 26, hkl 6 4 2
69.49°, intensity 33, hkl 8 4 0
77.27°, intensity 24, hkl 8 4 4

=====

[3]
NaZn3: theoretical XRD peak list (CuKα), based on a cell relaxed with GGA-PBE.
Kinematic intensities with the Lorentz-polarization factor, no thermal factor.

Cell and atoms:
Unit cell a=6.0151 b=6.0151 c=4.6439 alpha=90.00 beta=90.00 gamma=120.00
Space group P6_3/mmc (No. 194)
One atom of each set of equivalent atoms:
1 Na 0.3333 0.6667 0.2500 x2
2 Zn 0.1582 0.3164 0.7500 x6

Largest 10 diffraction maxima, in order of rising 2θ, 15° ≤ 2θ ≤ 90°:
17.02°, intensity 14, hkl 1 0 0
25.70°, intensity 8, hkl 1 0 1
34.43°, intensity 25, hkl 2 0 0
38.78°, intensity 24, hkl 0 0 2
39.68°, intensity 100, hkl 2 0 1
52.82°, intensity 14, hkl 2 0 2
61.68°, intensity 16, hkl 2 2 0
70.81°, intensity 16, hkl 2 0 3
75.29°, intensity 17, hkl 2 2 2
75.88°, intensity 12, hkl 4 0 1

=====

[4]
CaMg6Fe: theoretical XRD peak list (CuKα), based on a cell relaxed with GGA-PBE.
Kinematic intensities with the Lorentz-polarization factor, no thermal factor.

Cell and atoms:
Unit cell a=5.0623 b=6.4999 c=11.1559 alpha=90.00 beta=90.00 gamma=90.00
Space group Amm2 (No. 38)
One atom of each set of equivalent atoms:
1 Ca 0.0000 0.0000 0.0000 x2
2 Mg 0.0000 0.2457 0.7475 x4
3 Mg 0.5000 0.0000 0.3411 x2
4 Mg 0.5000 0.0000 0.8257 x2
5 Mg 0.5000 0.2290 0.5787 x4
6 Fe 0.0000 0.0000 0.5093 x2

Largest 10 diffraction maxima, in order of rising 2θ, 15° ≤ 2θ ≤ 90°:
15.89°, intensity 12, hkl 0 0 2
31.87°, intensity 24, hkl 0 2 2
32.09°, intensity 15, hkl 0 0 4
35.47°, intensity 35, hkl 2 0 0
36.59°, intensity 100, hkl 1 2 2
36.79°, intensity 44, hkl 1 0 4
48.42°, intensity 14, hkl 2 2 2
57.07°, intensity 16, hkl 0 2 6
64.42°, intensity 17, hkl 3 2 2
69.02°, intensity 17, hkl 2 2 6